Starting from a DFT-relaxed cell (PBE, OQMD), the powder diffraction line list of InReNO was simulated for Cu Kα X-rays.
Intensities are scaled so that the largest is 100.

Cell and atoms:
```
InReNO
1.0
2.9025 0.0000 0.0000
0.0000 5.8078 0.0000
0.0000 0.0000 7.0917
In Re N O
2 2 2 2
Cartesian
0.0000 0.9100 0.0000 In
0.0000 4.8978 3.5458 In
1.4512 2.4706 4.0708 Re
1.4512 3.3372 0.5249 Re
1.4512 2.4330 2.2586 N
1.4512 3.3748 5.8044 N
0.0000 1.1252 4.6629 O
0.0000 4.6826 1.1170 O
```

Top 10 peaks for 2θ from 10° to 90°, in order of rising 2θ:
Position (°2θ)	intensity	h k l
15.3	52.7	0 1 0
25.1	100.0	0 0 2
29.5	28.1	0 1 2
33.3	85.5	0 2 1
34.5	79.5	1 1 0
36.9	61.2	1 1 1
43.2	56.5	1 1 2
58.8	24.5	1 3 1
61.3	20.8	1 0 4
74.3	33.9	1 4 1